For Li7BiSb4, a cell relaxed with GGA-PBE gives the theoretical powder diffraction line list in this record (λ = 1.5418 Å (Cu Kα)).
Neutral-atom scattering factors, no anomalous dispersion.

The 12 most intense peaks (15° ≤ 2θ ≤ 90°), in order of rising 2θ:
24.25°, I 100.0
24.56°, I 22.4
26.14°, I 15.6
28.65°, I 43.6
31.17°, I 27.0
32.64°, I 23.8
34.38°, I 27.4
34.74°, I 17.9
47.08°, I 17.2
48.91°, I 15.6
49.68°, I 13.2
57.61°, I 18.6

Cell and atoms:
Unit cell a=6.576 b=6.576 c=10.229 alpha=121.19 beta=121.19 gamma=46.74
Fractional positions:
Li  0.000  0.000  0.000
Li  0.181  0.181  0.900
Li  0.229  0.229  0.658
Li  0.410  0.410  0.556
Li  0.590  0.590  0.444
Li  0.771  0.771  0.342
Li  0.819  0.819  0.100
Bi  0.500  0.500  0.000
Sb  0.112  0.112  0.317
Sb  0.308  0.308  0.230
Sb  0.692  0.692  0.770
Sb  0.888  0.888  0.683



For Rb2RuCl4F2, a cell relaxed with GGA-PBE gives the theoretical powder diffraction line list in this record (λ = 1.5418 Å (Cu Kα)).
Neutral-atom scattering factors, no anomalous dispersion.

The 12 most intense peaks (15° ≤ 2θ ≤ 90°), in order of rising 2θ:
15.52°, I 17.2
19.70°, I 44.6
22.67°, I 92.1
24.78°, I 16.7
27.07°, I 52.1
31.85°, I 100.0
33.07°, I 27.5
38.46°, I 18.9
39.01°, I 21.9
47.64°, I 20.5
54.55°, I 18.2
55.81°, I 20.3

Cell and atoms:
Unit cell a=6.737 b=6.737 c=5.853 alpha=100.66 beta=100.66 gamma=64.47
Fractional positions:
Rb  0.172  0.172  0.309
Rb  0.828  0.828  0.691
Ru  0.500  0.500  0.000
Cl  0.175  0.646  0.188
Cl  0.354  0.825  0.812
Cl  0.646  0.175  0.188
Cl  0.825  0.354  0.812
F  0.360  0.360  0.745
F  0.640  0.640  0.255



For Sm3Y3Tl2In, a cell relaxed with GGA-PBE gives the theoretical powder diffraction line list in this record (λ = 1.5418 Å (Cu Kα)).
Neutral-atom scattering factors, no anomalous dispersion.

The 12 most intense peaks (15° ≤ 2θ ≤ 90°), in order of rising 2θ:
19.75°, I 16.0
30.37°, I 22.7
30.63°, I 100.0
32.77°, I 59.0
34.56°, I 87.7
38.55°, I 30.4
46.84°, I 18.0
47.38°, I 16.7
56.85°, I 33.2
59.49°, I 14.3
59.95°, I 35.7
64.58°, I 16.2

Cell and atoms:
Unit cell a=8.991 b=8.991 c=3.838 alpha=90.00 beta=90.00 gamma=120.00
Fractional positions:
Sm  0.000  0.382  0.000
Sm  0.382  0.000  0.000
Sm  0.618  0.618  0.000
Y  0.000  0.715  0.500
Y  0.285  0.285  0.500
Y  0.715  0.000  0.500
Tl  0.333  0.667  0.500
Tl  0.667  0.333  0.500
In  0.000  0.000  0.000



For CuSn2F11, a cell relaxed with GGA-PBE gives the theoretical powder diffraction line list in this record (λ = 1.5418 Å (Cu Kα)).
Neutral-atom scattering factors, no anomalous dispersion.

The 12 most intense peaks (15° ≤ 2θ ≤ 90°), in order of rising 2θ:
18.30°, I 40.0
18.94°, I 24.4
22.69°, I 30.4
23.09°, I 24.8
25.25°, I 66.8
25.93°, I 100.0
27.64°, I 33.4
30.67°, I 20.2
36.13°, I 17.2
37.08°, I 14.0
51.94°, I 19.5
53.32°, I 15.0

Cell and atoms:
Unit cell a=7.628 b=7.628 c=9.409 alpha=124.00 beta=124.00 gamma=64.30
Fractional positions:
Cu  0.159  0.841  0.750
Cu  0.841  0.159  0.250
Sn  0.114  0.406  0.802
Sn  0.406  0.114  0.302
Sn  0.594  0.886  0.698
Sn  0.886  0.594  0.198
F  0.000  0.500  0.000
F  0.062  0.758  0.480
F  0.096  0.140  0.800
F  0.140  0.096  0.300
F  0.166  0.368  0.241
F  0.181  0.550  0.704
F  0.242  0.938  0.020
F  0.337  0.545  0.044
F  0.368  0.166  0.741
F  0.450  0.819  0.796
F  0.455  0.663  0.456
F  0.500  0.000  0.500
F  0.545  0.337  0.544
F  0.550  0.181  0.204
F  0.632  0.834  0.259
F  0.663  0.455  0.956
F  0.758  0.062  0.980
F  0.819  0.450  0.296
F  0.834  0.632  0.759
F  0.860  0.904  0.700
F  0.904  0.860  0.200
F  0.938  0.242  0.520



For Zn2Pd3Pt2, a cell relaxed with GGA-PBE gives the theoretical powder diffraction line list in this record (λ = 1.5418 Å (Cu Kα)).
Neutral-atom scattering factors, no anomalous dispersion.

The 12 most intense peaks (15° ≤ 2θ ≤ 90°), in order of rising 2θ:
24.35°, I 42.0
25.72°, I 40.1
40.89°, I 97.3
41.53°, I 100.0
42.64°, I 24.7
43.70°, I 82.8
45.97°, I 22.6
49.89°, I 36.4
67.06°, I 20.0
68.45°, I 42.7
79.21°, I 34.8
82.06°, I 27.2

Cell and atoms:
Unit cell a=2.791 b=21.637 c=3.656 alpha=90.00 beta=90.00 gamma=90.00
Fractional positions:
Zn  0.000  0.135  0.000
Zn  0.000  0.865  0.000
Zn  0.500  0.365  0.000
Zn  0.500  0.635  0.000
Pd  0.000  0.000  0.000
Pd  0.000  0.429  0.500
Pd  0.000  0.571  0.500
Pd  0.500  0.071  0.500
Pd  0.500  0.500  0.000
Pd  0.500  0.929  0.500
Pt  0.000  0.302  0.500
Pt  0.000  0.698  0.500
Pt  0.500  0.198  0.500
Pt  0.500  0.802  0.500



For Dy2FeGe4, a cell relaxed with GGA-PBE gives the theoretical powder diffraction line list in this record (λ = 1.5418 Å (Cu Kα)).
Neutral-atom scattering factors, no anomalous dispersion.

The 12 most intense peaks (15° ≤ 2θ ≤ 90°), in order of rising 2θ:
24.33°, I 13.1
30.89°, I 10.6
34.44°, I 15.1
35.00°, I 100.0
35.85°, I 19.8
40.94°, I 16.5
43.18°, I 21.3
43.72°, I 20.5
61.01°, I 10.0
63.13°, I 13.5
73.90°, I 17.8
74.66°, I 10.9

Cell and atoms:
Unit cell a=4.141 b=4.191 c=15.623 alpha=90.00 beta=90.00 gamma=90.00
Fractional positions:
Dy  0.000  0.000  0.000
Dy  0.000  0.500  0.500
Dy  0.500  0.000  0.206
Dy  0.500  0.500  0.706
Fe  0.000  0.000  0.796
Fe  0.000  0.500  0.296
Ge  0.000  0.000  0.362
Ge  0.000  0.000  0.649
Ge  0.000  0.500  0.149
Ge  0.000  0.500  0.862
Ge  0.500  0.000  0.539
Ge  0.500  0.000  0.861
Ge  0.500  0.500  0.039
Ge  0.500  0.500  0.361



For Tm4Sn2Rh, a cell relaxed with GGA-PBE gives the theoretical powder diffraction line list in this record (λ = 1.5418 Å (Cu Kα)).
Neutral-atom scattering factors, no anomalous dispersion.

The 12 most intense peaks (15° ≤ 2θ ≤ 90°), in order of rising 2θ:
27.75°, I 43.4
28.74°, I 80.7
31.23°, I 88.5
32.33°, I 37.5
35.34°, I 100.0
37.56°, I 31.6
37.72°, I 79.5
38.16°, I 45.4
39.10°, I 65.0
51.61°, I 22.0
55.79°, I 30.5
68.41°, I 17.8

Cell and atoms:
Unit cell a=11.123 b=4.607 c=8.617 alpha=90.00 beta=124.81 gamma=90.00
Fractional positions:
Tm  0.068  0.000  0.358
Tm  0.168  0.500  0.054
Tm  0.332  0.000  0.946
Tm  0.432  0.500  0.642
Tm  0.568  0.500  0.358
Tm  0.668  0.000  0.054
Tm  0.832  0.500  0.946
Tm  0.932  0.000  0.642
Sn  0.162  0.500  0.671
Sn  0.338  0.000  0.329
Sn  0.662  0.000  0.671
Sn  0.838  0.500  0.329
Rh  0.000  0.000  0.000
Rh  0.500  0.500  0.000



For PmNd5Sm2Tm, a cell relaxed with GGA-PBE gives the theoretical powder diffraction line list in this record (λ = 1.5418 Å (Cu Kα)).
Neutral-atom scattering factors, no anomalous dispersion.

The 12 most intense peaks (15° ≤ 2θ ≤ 90°), in order of rising 2θ:
28.09°, I 48.8
28.47°, I 51.5
30.17°, I 100.0
31.92°, I 11.6
33.90°, I 12.4
36.17°, I 11.0
36.99°, I 17.1
39.56°, I 8.4
42.37°, I 21.6
45.53°, I 21.9
51.49°, I 22.8
54.59°, I 18.1

Cell and atoms:
Unit cell a=10.137 b=10.137 c=10.137 alpha=128.13 beta=128.13 gamma=76.41
Fractional positions:
Pm  0.250  0.250  0.000
Pm  0.750  0.750  0.000
Nd  0.000  0.000  0.000
Nd  0.071  0.571  0.920
Nd  0.150  0.071  0.500
Nd  0.350  0.850  0.920
Nd  0.429  0.350  0.500
Nd  0.500  0.500  0.000
Nd  0.571  0.650  0.500
Nd  0.650  0.150  0.080
Nd  0.850  0.929  0.500
Nd  0.929  0.429  0.080
Sm  0.117  0.383  0.500
Sm  0.383  0.883  0.266
Sm  0.617  0.117  0.734
Sm  0.883  0.617  0.500
Tm  0.250  0.750  0.500
Tm  0.750  0.250  0.500



For Mn2GeHSe, a cell relaxed with GGA-PBE gives the theoretical powder diffraction line list in this record (λ = 1.5418 Å (Cu Kα)).
Neutral-atom scattering factors, no anomalous dispersion.

The 12 most intense peaks (15° ≤ 2θ ≤ 90°), in order of rising 2θ:
29.92°, I 44.1
30.49°, I 31.9
34.45°, I 31.7
38.16°, I 100.0
43.97°, I 49.4
46.26°, I 18.3
53.25°, I 20.2
53.47°, I 18.8
54.10°, I 23.5
54.53°, I 18.7
79.72°, I 11.7
83.11°, I 15.7

Cell and atoms:
Unit cell a=3.365 b=3.440 c=11.946 alpha=90.00 beta=90.00 gamma=90.00
Fractional positions:
Mn  0.000  0.000  0.000
Mn  0.000  0.500  0.500
Mn  0.500  0.000  0.196
Mn  0.500  0.500  0.696
Ge  0.000  0.000  0.674
Ge  0.000  0.500  0.174
H  0.500  0.000  0.058
H  0.500  0.500  0.558
Se  0.500  0.000  0.399
Se  0.500  0.500  0.899



For CaMg2CuGe2, a cell relaxed with GGA-PBE gives the theoretical powder diffraction line list in this record (λ = 1.5418 Å (Cu Kα)).
Neutral-atom scattering factors, no anomalous dispersion.

The 12 most intense peaks (15° ≤ 2θ ≤ 90°), in order of rising 2θ:
18.68°, I 28.0
23.71°, I 100.0
33.62°, I 29.7
33.78°, I 88.7
41.56°, I 23.0
45.86°, I 20.6
48.41°, I 40.8
48.53°, I 30.8
54.70°, I 19.1
58.16°, I 19.9
60.33°, I 20.3
81.01°, I 20.9

Cell and atoms:
Unit cell a=5.306 b=5.306 c=10.662 alpha=90.00 beta=90.00 gamma=90.00
Fractional positions:
Ca  0.000  0.000  0.000
Ca  0.500  0.500  0.500
Mg  0.000  0.500  0.250
Mg  0.000  0.500  0.750
Mg  0.500  0.000  0.250
Mg  0.500  0.000  0.750
Cu  0.000  0.000  0.500
Cu  0.500  0.500  0.000
Ge  0.000  0.000  0.286
Ge  0.000  0.000  0.714
Ge  0.500  0.500  0.214
Ge  0.500  0.500  0.786